The following is a calculated X-ray diffraction stick pattern of Li4ZrSbO6. It was derived from the GGA-PBE geometry in OQMD, using Cu Kα, 1.54184 Å.

The 10 most intense peaks (5 to 70 degrees two-theta), in order of falling intensity:
- 2θ = 18.18°, I = 100
- 2θ = 41.57°, I = 87
- 2θ = 33.76°, I = 59
- 2θ = 19.92°, I = 42
- 2θ = 22.57°, I = 31
- 2θ = 19.00°, I = 25
- 2θ = 45.72°, I = 23
- 2θ = 35.44°, I = 23
- 2θ = 26.42°, I = 22
- 2θ = 59.27°, I = 21

```
data_Li4ZrSbO6
_symmetry_space_group_name_H-M 'C 1 2 1'
_symmetry_Int_Tables_number 5
_symmetry_space_group_name_Hall 'C 2y'
_cell_length_a 5.405
_cell_length_b 9.341
_cell_length_c 5.198
_cell_angle_alpha 90.00
_cell_angle_beta 110.19
_cell_angle_gamma 90.00
loop_
_atom_site_label
_atom_site_type_symbol
_atom_site_fract_x
_atom_site_fract_y
_atom_site_fract_z
Li1 Li 0.000 0.000 0.000
Li2 Li 0.000 0.151 0.500
Li3 Li 0.000 0.308 0.000
Li4 Li 0.000 0.646 0.000
Zr1 Zr 0.000 0.819 0.500
Sb1 Sb 0.000 0.483 0.500
O1 O 0.236 0.652 0.744
O2 O 0.248 0.479 0.259
O3 O 0.248 0.823 0.260
```


The following is a calculated X-ray diffraction stick pattern of LiTb3ScO8. It was derived from the GGA-PBE geometry in OQMD, using Cu Kα, 1.54184 Å.

The 10 most intense peaks (5 to 70 degrees two-theta), in order of falling intensity:
- 2θ = 36.53°, I = 100
- 2θ = 30.59°, I = 82
- 2θ = 19.49°, I = 74
- 2θ = 50.83°, I = 64
- 2θ = 24.78°, I = 60
- 2θ = 54.37°, I = 32
- 2θ = 33.04°, I = 26
- 2θ = 15.16°, I = 25
- 2θ = 58.32°, I = 24
- 2θ = 45.64°, I = 23

```
data_LiTb3ScO8
_symmetry_space_group_name_H-M 'P 3 m 1'
_symmetry_Int_Tables_number 156
_symmetry_space_group_name_Hall 'P 3 -2"'
_cell_length_a 6.7496
_cell_length_b 6.7496
_cell_length_c 4.5543
_cell_angle_alpha 90.00
_cell_angle_beta 90.00
_cell_angle_gamma 120.00
loop_
_atom_site_label
_atom_site_type_symbol
_atom_site_fract_x
_atom_site_fract_y
_atom_site_fract_z
Li1 Li 0.0000 0.0000 0.0000
Tb1 Tb 0.1704 0.3408 0.5665
Sc1 Sc 0.6667 0.3333 0.0594
O1 O 0.0000 0.0000 0.3792
O2 O 0.3270 0.1635 0.8503
O3 O 0.3333 0.6667 0.8073
O4 O 0.5178 0.0356 0.3342
```


The following is a calculated X-ray diffraction stick pattern of LiScZnO3. It was derived from the GGA-PBE geometry in OQMD, using Cu Kα, 1.54184 Å.

The 10 most intense peaks (5 to 70 degrees two-theta), in order of falling intensity:
- 2θ = 17.16°, I = 100
- 2θ = 34.15°, I = 80
- 2θ = 38.11°, I = 79
- 2θ = 13.13°, I = 49
- 2θ = 50.05°, I = 47
- 2θ = 48.92°, I = 45
- 2θ = 62.52°, I = 31
- 2θ = 35.23°, I = 31
- 2θ = 40.10°, I = 30
- 2θ = 51.40°, I = 28

```
data_LiScZnO3
_symmetry_space_group_name_H-M 'C 1 2 1'
_symmetry_Int_Tables_number 5
_symmetry_space_group_name_Hall 'C 2y'
_cell_length_a 11.721
_cell_length_b 3.064
_cell_length_c 7.111
_cell_angle_alpha 90.00
_cell_angle_beta 108.47
_cell_angle_gamma 90.00
loop_
_atom_site_label
_atom_site_type_symbol
_atom_site_fract_x
_atom_site_fract_y
_atom_site_fract_z
Li1 Li 0.177 0.000 0.353
Sc1 Sc 0.000 0.114 0.500
Sc2 Sc 0.000 0.574 0.000
Zn1 Zn 0.187 0.654 0.833
O1 O 0.017 0.080 0.805
O2 O 0.132 0.598 0.538
O3 O 0.189 0.631 0.124
```


The following is a calculated X-ray diffraction stick pattern of LiTmSeO. It was derived from the GGA-PBE geometry in OQMD, using Cu Kα, 1.54184 Å.

The 10 most intense peaks (5 to 70 degrees two-theta), in order of falling intensity:
- 2θ = 9.04°, I = 100
- 2θ = 27.02°, I = 46
- 2θ = 26.69°, I = 39
- 2θ = 32.83°, I = 30
- 2θ = 32.37°, I = 30
- 2θ = 47.12°, I = 25
- 2θ = 34.13°, I = 21
- 2θ = 43.25°, I = 13
- 2θ = 68.84°, I = 13
- 2θ = 33.94°, I = 12

```
data_LiTmSeO
_symmetry_space_group_name_H-M 'P 1 21 1'
_symmetry_Int_Tables_number 4
_symmetry_space_group_name_Hall 'P 2yb'
_cell_length_a 5.457
_cell_length_b 5.454
_cell_length_c 10.105
_cell_angle_alpha 90.00
_cell_angle_beta 104.53
_cell_angle_gamma 90.00
loop_
_atom_site_label
_atom_site_type_symbol
_atom_site_fract_x
_atom_site_fract_y
_atom_site_fract_z
Li1 Li 0.034 0.000 0.090
Li2 Li 0.440 0.971 0.910
Tm1 Tm 0.052 0.255 0.609
Tm2 Tm 0.448 0.255 0.391
Se1 Se 0.079 0.490 0.170
Se2 Se 0.423 0.487 0.831
O1 O 0.250 0.006 0.500
O2 O 0.250 0.507 0.500
```


The following is a calculated X-ray diffraction stick pattern of LiTaSiO5. It was derived from the GGA-PBE geometry in OQMD, using Cu Kα, 1.54184 Å.

The 10 most intense peaks (5 to 70 degrees two-theta), in order of falling intensity:
- 2θ = 17.71°, I = 100
- 2θ = 26.46°, I = 74
- 2θ = 27.52°, I = 39
- 2θ = 22.54°, I = 35
- 2θ = 35.81°, I = 25
- 2θ = 36.89°, I = 23
- 2θ = 54.44°, I = 23
- 2θ = 43.43°, I = 16
- 2θ = 54.63°, I = 16
- 2θ = 38.83°, I = 14

```
data_LiTaSiO5
_symmetry_space_group_name_H-M 'P 1 21/c 1'
_symmetry_Int_Tables_number 14
_symmetry_space_group_name_Hall '-P 2ybc'
_cell_length_a 7.425
_cell_length_b 7.889
_cell_length_c 7.452
_cell_angle_alpha 90.00
_cell_angle_beta 119.20
_cell_angle_gamma 90.00
loop_
_atom_site_label
_atom_site_type_symbol
_atom_site_fract_x
_atom_site_fract_y
_atom_site_fract_z
Li1 Li 0.249 0.066 0.192
Ta1 Ta 0.252 0.739 0.994
Si1 Si 0.251 0.111 0.759
O1 O 0.056 0.241 0.646
O2 O 0.242 0.507 0.434
O3 O 0.248 0.672 0.746
O4 O 0.265 0.509 0.088
O5 O 0.442 0.246 0.856
```


The following is a calculated X-ray diffraction stick pattern of LiTmSiO4. It was derived from the GGA-PBE geometry in OQMD, using Cu Kα, 1.54184 Å.

The 10 most intense peaks (5 to 70 degrees two-theta), in order of falling intensity:
- 2θ = 24.68°, I = 100
- 2θ = 34.35°, I = 53
- 2θ = 16.58°, I = 49
- 2θ = 28.74°, I = 33
- 2θ = 50.60°, I = 19
- 2θ = 48.54°, I = 17
- 2θ = 59.50°, I = 14
- 2θ = 54.62°, I = 14
- 2θ = 33.37°, I = 14
- 2θ = 40.71°, I = 12

```
data_LiTmSiO4
_symmetry_space_group_name_H-M 'P n m a'
_symmetry_Int_Tables_number 62
_symmetry_space_group_name_Hall '-P 2ac 2n'
_cell_length_a 10.696
_cell_length_b 6.210
_cell_length_c 4.871
_cell_angle_alpha 90.00
_cell_angle_beta 90.00
_cell_angle_gamma 90.00
loop_
_atom_site_label
_atom_site_type_symbol
_atom_site_fract_x
_atom_site_fract_y
_atom_site_fract_z
Li1 Li 0.000 0.000 0.000
Tm1 Tm 0.223 0.250 0.473
Si1 Si 0.086 0.750 0.413
O1 O 0.054 0.250 0.722
O2 O 0.094 0.750 0.744
O3 O 0.161 0.545 0.268
```


The following is a calculated X-ray diffraction stick pattern of Li4Sm2O5. It was derived from the GGA-PBE geometry in OQMD, using Cu Kα, 1.54184 Å.

The 10 most intense peaks (5 to 70 degrees two-theta), in order of falling intensity:
- 2θ = 19.33°, I = 100
- 2θ = 27.36°, I = 66
- 2θ = 20.26°, I = 60
- 2θ = 33.72°, I = 57
- 2θ = 39.22°, I = 54
- 2θ = 12.84°, I = 47
- 2θ = 56.47°, I = 35
- 2θ = 28.14°, I = 31
- 2θ = 38.96°, I = 29
- 2θ = 48.50°, I = 28

```
data_Li4Sm2O5
_symmetry_space_group_name_H-M 'C m m m'
_symmetry_Int_Tables_number 65
_symmetry_space_group_name_Hall '-C 2 2'
_cell_length_a 4.624
_cell_length_b 13.792
_cell_length_c 4.591
_cell_angle_alpha 90.00
_cell_angle_beta 90.00
_cell_angle_gamma 90.00
loop_
_atom_site_label
_atom_site_type_symbol
_atom_site_fract_x
_atom_site_fract_y
_atom_site_fract_z
Li1 Li 0.000 0.000 0.000
Li2 Li 0.000 0.188 0.500
Li3 Li 0.000 0.500 0.500
Sm1 Sm 0.000 0.341 0.000
O1 O 0.000 0.161 0.000
O2 O 0.000 0.340 0.500
O3 O 0.000 0.500 0.000
```


The following is a calculated X-ray diffraction stick pattern of Li6Sm2O7. It was derived from the GGA-PBE geometry in OQMD, using Cu Kα, 1.54184 Å.

The 10 most intense peaks (5 to 70 degrees two-theta), in order of falling intensity:
- 2θ = 15.27°, I = 100
- 2θ = 16.09°, I = 48
- 2θ = 22.11°, I = 44
- 2θ = 30.01°, I = 38
- 2θ = 21.54°, I = 26
- 2θ = 38.44°, I = 25
- 2θ = 39.53°, I = 24
- 2θ = 26.58°, I = 24
- 2θ = 25.51°, I = 23
- 2θ = 43.03°, I = 22

```
data_Li6Sm2O7
_symmetry_space_group_name_H-M 'P -1'
_symmetry_Int_Tables_number 2
_symmetry_space_group_name_Hall '-P 1'
_cell_length_a 5.603
_cell_length_b 5.619
_cell_length_c 6.222
_cell_angle_alpha 68.87
_cell_angle_beta 85.58
_cell_angle_gamma 79.54
loop_
_atom_site_label
_atom_site_type_symbol
_atom_site_fract_x
_atom_site_fract_y
_atom_site_fract_z
Li1 Li 0.052 0.214 0.420
Li2 Li 0.380 0.636 0.313
Li3 Li 0.400 0.743 0.834
Sm1 Sm 0.141 0.259 0.916
O1 O 0.069 0.979 0.745
O2 O 0.238 0.457 0.157
O3 O 0.285 0.581 0.621
O4 O 0.500 0.000 0.000
```